[1]
This entry pairs a crystal structure of K3NdB2O6 with its computed PXRD pattern. Radiation: CuKα. Structure: a cell relaxed with GGA-PBE.

Cell and atoms:
Lattice parameters (Å, degrees): 9.157 7.252 11.339 90.00 90.00 90.00
Fractional coordinates of all 48 atoms:
K  0.061  0.250  0.130
K  0.200  0.004  0.402
K  0.200  0.496  0.402
K  0.300  0.504  0.902
K  0.300  0.996  0.902
K  0.439  0.750  0.630
K  0.561  0.250  0.370
K  0.700  0.004  0.098
K  0.700  0.496  0.098
K  0.800  0.504  0.598
K  0.800  0.996  0.598
K  0.939  0.750  0.870
Nd  0.126  0.250  0.669
Nd  0.374  0.750  0.169
Nd  0.626  0.250  0.831
Nd  0.874  0.750  0.331
B  0.062  0.750  0.126
B  0.089  0.750  0.617
B  0.411  0.250  0.117
B  0.438  0.250  0.626
B  0.562  0.750  0.374
B  0.589  0.750  0.883
B  0.911  0.250  0.383
B  0.938  0.250  0.874
O  0.009  0.750  0.512
O  0.088  0.250  0.885
O  0.121  0.750  0.241
O  0.128  0.583  0.670
O  0.128  0.917  0.670
O  0.160  0.750  0.033
O  0.340  0.250  0.533
O  0.372  0.083  0.170
O  0.372  0.417  0.170
O  0.379  0.250  0.741
O  0.412  0.750  0.385
O  0.491  0.250  0.012
O  0.509  0.750  0.988
O  0.588  0.250  0.615
O  0.621  0.750  0.259
O  0.628  0.583  0.830
O  0.628  0.917  0.830
O  0.660  0.750  0.467
O  0.840  0.250  0.967
O  0.872  0.083  0.330
O  0.872  0.417  0.330
O  0.879  0.250  0.759
O  0.912  0.750  0.115
O  0.991  0.250  0.488

Top 10 peaks for 2θ from 10° to 80°, in order of rising 2θ:
| 2θ (°) | d [Å] | I/Imax |
| --- | --- | --- |
| 12.42 | 7.124 | 32 |
| 14.50 | 6.110 | 100 |
| 20.92 | 4.245 | 34 |
| 22.14 | 4.015 | 34 |
| 22.97 | 3.871 | 41 |
| 24.55 | 3.626 | 37 |
| 30.86 | 2.898 | 79 |
| 31.52 | 2.839 | 38 |
| 33.34 | 2.688 | 39 |
| 39.38 | 2.288 | 34 |

***

[2]
This entry pairs a crystal structure of Mn3Zn8N8 with its computed PXRD pattern. Radiation: CuKα. Structure: a cell relaxed with GGA-PBE.

Cell and atoms:
Lattice parameters (Å, degrees): 9.673 9.673 7.770 103.34 103.34 21.38
Fractional coordinates of all 19 atoms:
Mn  0.000  0.000  0.000
Mn  0.305  0.305  0.281
Mn  0.695  0.695  0.719
Zn  0.087  0.087  0.612
Zn  0.161  0.161  0.008
Zn  0.314  0.314  0.649
Zn  0.473  0.473  0.705
Zn  0.527  0.527  0.295
Zn  0.686  0.686  0.351
Zn  0.839  0.839  0.992
Zn  0.913  0.913  0.388
N  0.014  0.014  0.761
N  0.208  0.208  0.274
N  0.332  0.332  0.085
N  0.383  0.383  0.482
N  0.617  0.617  0.518
N  0.668  0.668  0.915
N  0.792  0.792  0.726
N  0.986  0.986  0.239

Top 10 peaks for 2θ from 10° to 80°, in order of rising 2θ:
| 2θ (°) | d [Å] | I/Imax |
| --- | --- | --- |
| 28.62 | 3.119 | 53 |
| 28.99 | 3.080 | 42 |
| 29.83 | 2.995 | 72 |
| 34.00 | 2.637 | 43 |
| 34.02 | 2.635 | 100 |
| 34.87 | 2.573 | 52 |
| 35.66 | 2.518 | 67 |
| 38.75 | 2.324 | 61 |
| 38.99 | 2.310 | 38 |
| 50.90 | 1.794 | 61 |

***

[3]
This entry pairs a crystal structure of Ce2Te7Br2O17 with its computed PXRD pattern. Radiation: CuKα. Structure: a cell relaxed with GGA-PBE.

Cell and atoms:
Lattice parameters (Å, degrees): 9.936 5.507 20.619 90.00 111.23 90.00
Fractional coordinates of all 56 atoms:
Ce  0.005  0.135  0.408
Ce  0.005  0.865  0.908
Ce  0.995  0.135  0.092
Ce  0.995  0.865  0.592
Te  0.000  0.440  0.250
Te  0.000  0.560  0.750
Te  0.263  0.326  0.580
Te  0.263  0.674  0.080
Te  0.285  0.396  0.911
Te  0.285  0.604  0.411
Te  0.326  0.018  0.756
Te  0.326  0.982  0.256
Te  0.674  0.018  0.744
Te  0.674  0.982  0.244
Te  0.715  0.396  0.589
Te  0.715  0.604  0.089
Te  0.737  0.326  0.920
Te  0.737  0.674  0.420
Br  0.470  0.167  0.079
Br  0.470  0.833  0.579
Br  0.530  0.167  0.421
Br  0.530  0.833  0.921
O  0.099  0.211  0.214
O  0.099  0.789  0.714
O  0.114  0.099  0.532
O  0.114  0.901  0.032
O  0.138  0.429  0.089
O  0.138  0.571  0.589
O  0.140  0.162  0.900
O  0.140  0.838  0.400
O  0.157  0.364  0.350
O  0.157  0.636  0.850
O  0.212  0.121  0.663
O  0.212  0.879  0.163
O  0.223  0.404  0.477
O  0.223  0.596  0.977
O  0.275  0.277  0.802
O  0.275  0.723  0.302
O  0.500  0.189  0.750
O  0.500  0.811  0.250
O  0.725  0.277  0.698
O  0.725  0.723  0.198
O  0.777  0.404  0.023
O  0.777  0.596  0.523
O  0.788  0.121  0.837
O  0.788  0.879  0.337
O  0.843  0.364  0.150
O  0.843  0.636  0.650
O  0.860  0.162  0.600
O  0.860  0.838  0.100
O  0.862  0.429  0.411
O  0.862  0.571  0.911
O  0.886  0.099  0.968
O  0.886  0.901  0.468
O  0.901  0.211  0.286
O  0.901  0.789  0.786

Top 10 peaks for 2θ from 10° to 80°, in order of rising 2θ:
| 2θ (°) | d [Å] | I/Imax |
| --- | --- | --- |
| 19.31 | 4.597 | 48 |
| 24.24 | 3.672 | 90 |
| 25.12 | 3.545 | 79 |
| 26.80 | 3.326 | 83 |
| 27.85 | 3.203 | 100 |
| 28.87 | 3.092 | 35 |
| 29.17 | 3.061 | 52 |
| 32.07 | 2.791 | 38 |
| 35.49 | 2.530 | 52 |
| 57.70 | 1.598 | 40 |

***

[4]
This entry pairs a crystal structure of SmPd with its computed PXRD pattern. Radiation: CuKα. Structure: a cell relaxed with GGA-PBE.

Cell and atoms:
Lattice parameters (Å, degrees): 5.723 5.723 4.646 90.00 90.00 141.17
Fractional coordinates of all 4 atoms:
Sm  0.137  0.863  0.750
Sm  0.863  0.137  0.250
Pd  0.414  0.586  0.750
Pd  0.586  0.414  0.250

Top 10 peaks for 2θ from 10° to 80°, in order of rising 2θ:
| 2θ (°) | d [Å] | I/Imax |
| --- | --- | --- |
| 31.50 | 2.840 | 100 |
| 33.19 | 2.699 | 31 |
| 34.30 | 2.615 | 21 |
| 38.58 | 2.334 | 18 |
| 38.76 | 2.323 | 33 |
| 39.55 | 2.279 | 66 |
| 47.81 | 1.903 | 18 |
| 51.93 | 1.761 | 18 |
| 63.17 | 1.472 | 16 |
| 78.58 | 1.217 | 13 |

***

[5]
This entry pairs a crystal structure of Li3Tl with its computed PXRD pattern. Radiation: CuKα. Structure: a cell relaxed with GGA-PBE.

Cell and atoms:
Lattice parameters (Å, degrees): 4.726 4.726 4.726 60.00 60.00 60.00
Fractional coordinates of all 4 atoms:
Li  0.000  0.000  0.000
Li  0.250  0.250  0.250
Li  0.750  0.750  0.750
Tl  0.500  0.500  0.500

Top 10 peaks for 2θ from 10° to 80°, in order of rising 2θ:
| 2θ (°) | d [Å] | I/Imax |
| --- | --- | --- |
| 23.05 | 3.859 | 100 |
| 26.67 | 3.342 | 53 |
| 38.08 | 2.363 | 51 |
| 44.98 | 2.015 | 53 |
| 47.10 | 1.930 | 15 |
| 54.95 | 1.671 | 9 |
| 60.36 | 1.533 | 22 |
| 62.10 | 1.495 | 21 |
| 68.81 | 1.364 | 18 |
| 73.64 | 1.286 | 17 |

***

[6]
This entry pairs a crystal structure of Lu2ZnRu with its computed PXRD pattern. Radiation: CuKα. Structure: a cell relaxed with GGA-PBE.

Cell and atoms:
Lattice parameters (Å, degrees): 4.819 4.819 4.819 60.00 60.00 60.00
Fractional coordinates of all 4 atoms:
Lu  0.250  0.250  0.250
Lu  0.750  0.750  0.750
Zn  0.000  0.000  0.000
Ru  0.500  0.500  0.500

Top 8 peaks for 2θ from 10° to 80°, in order of rising 2θ:
| 2θ (°) | d [Å] | I/Imax |
| --- | --- | --- |
| 22.60 | 3.935 | 1 |
| 26.15 | 3.408 | 13 |
| 37.32 | 2.410 | 100 |
| 46.14 | 1.967 | 4 |
| 53.80 | 1.704 | 17 |
| 60.78 | 1.524 | 6 |
| 67.30 | 1.391 | 35 |
| 79.56 | 1.205 | 11 |

***

[7]
This entry pairs a crystal structure of PrIn3Pt with its computed PXRD pattern. Radiation: CuKα. Structure: a cell relaxed with GGA-PBE.

Cell and atoms:
Lattice parameters (Å, degrees): 10.089 10.089 10.089 90.00 90.00 90.00
Fractional coordinates of all 40 atoms:
Pr  0.000  0.000  0.000
Pr  0.000  0.250  0.500
Pr  0.000  0.750  0.500
Pr  0.250  0.500  0.000
Pr  0.500  0.000  0.250
Pr  0.500  0.000  0.750
Pr  0.500  0.500  0.500
Pr  0.750  0.500  0.000
In  0.000  0.316  0.152
In  0.000  0.316  0.848
In  0.000  0.684  0.152
In  0.000  0.684  0.848
In  0.152  0.000  0.316
In  0.152  0.000  0.684
In  0.184  0.500  0.348
In  0.184  0.500  0.652
In  0.316  0.152  0.000
In  0.316  0.848  0.000
In  0.348  0.184  0.500
In  0.348  0.816  0.500
In  0.500  0.348  0.184
In  0.500  0.348  0.816
In  0.500  0.652  0.184
In  0.500  0.652  0.816
In  0.652  0.184  0.500
In  0.652  0.816  0.500
In  0.684  0.152  0.000
In  0.684  0.848  0.000
In  0.816  0.500  0.348
In  0.816  0.500  0.652
In  0.848  0.000  0.316
In  0.848  0.000  0.684
Pt  0.250  0.250  0.250
Pt  0.250  0.250  0.750
Pt  0.250  0.750  0.250
Pt  0.250  0.750  0.750
Pt  0.750  0.250  0.250
Pt  0.750  0.250  0.750
Pt  0.750  0.750  0.250
Pt  0.750  0.750  0.750

Top 10 peaks for 2θ from 10° to 80°, in order of rising 2θ:
| 2θ (°) | d [Å] | I/Imax |
| --- | --- | --- |
| 17.58 | 5.045 | 23 |
| 30.70 | 2.913 | 18 |
| 31.98 | 2.798 | 100 |
| 33.22 | 2.697 | 45 |
| 35.59 | 2.522 | 34 |
| 36.73 | 2.447 | 14 |
| 39.96 | 2.256 | 32 |
| 43.97 | 2.059 | 49 |
| 56.20 | 1.637 | 16 |
| 60.91 | 1.521 | 26 |

***

[8]
This entry pairs a crystal structure of Be8Ru with its computed PXRD pattern. Radiation: CuKα. Structure: a cell relaxed with GGA-PBE.

Cell and atoms:
Lattice parameters (Å, degrees): 4.162 4.162 10.979 90.00 90.00 120.00
Fractional coordinates of all 18 atoms:
Be  0.000  0.000  0.000
Be  0.000  0.000  0.344
Be  0.000  0.000  0.656
Be  0.167  0.334  0.183
Be  0.167  0.334  0.817
Be  0.167  0.833  0.183
Be  0.167  0.833  0.817
Be  0.333  0.667  0.374
Be  0.333  0.667  0.626
Be  0.342  0.171  0.500
Be  0.666  0.833  0.183
Be  0.666  0.833  0.817
Be  0.667  0.333  0.097
Be  0.667  0.333  0.903
Be  0.829  0.171  0.500
Be  0.829  0.658  0.500
Ru  0.667  0.333  0.307
Ru  0.667  0.333  0.693

Top 10 peaks for 2θ from 10° to 80°, in order of rising 2θ:
| 2θ (°) | d [Å] | I/Imax |
| --- | --- | --- |
| 16.15 | 5.489 | 60 |
| 24.32 | 3.660 | 20 |
| 24.70 | 3.605 | 100 |
| 29.65 | 3.013 | 65 |
| 34.94 | 2.568 | 64 |
| 43.48 | 2.081 | 30 |
| 46.67 | 1.946 | 20 |
| 48.55 | 1.875 | 44 |
| 50.44 | 1.809 | 36 |
| 53.51 | 1.712 | 21 |